Record 1
Starting from DFT lattice parameters and positions (PBE), the X-ray diffraction stick pattern of CdAg2SnSe4 was computed for λ = 1.5418 Å (Cu Kα).

Most intense lines, 5° ≤ 2θ ≤ 70°, in order of falling intensity:
2θ = 23.6°, rel. 100.0
2θ = 45.0°, rel. 87.9
2θ = 26.7°, rel. 76.5
2θ = 25.0°, rel. 58.9
2θ = 41.5°, rel. 58.3
2θ = 34.6°, rel. 38.9
2θ = 49.0°, rel. 36.0
2θ = 41.3°, rel. 29.9
2θ = 62.8°, rel. 21.3
2θ = 48.9°, rel. 18.5

Cell and atoms:
Unit cell a=7.135 b=4.369 c=7.536 alpha=90.00 beta=90.03 gamma=90.00
Fractional positions:
Cd: 0.000 0.000 0.000
Ag: 0.002 0.500 0.490
Ag: 0.525 0.500 0.155
Sn: 0.519 0.000 0.676
Se: 0.385 0.500 0.501
Se: 0.387 0.000 0.993
Se: 0.879 0.000 0.657
Se: 0.893 0.500 0.162



Record 2
Starting from DFT lattice parameters and positions (PBE), the X-ray diffraction stick pattern of ThCdAg2 was computed for λ = 1.5418 Å (Cu Kα).

Most intense lines, 5° ≤ 2θ ≤ 70°, in order of falling intensity:
2θ = 35.4°, rel. 100.0
2θ = 63.5°, rel. 35.4
2θ = 50.9°, rel. 17.5
2θ = 21.4°, rel. 8.2
2θ = 41.7°, rel. 4.8
2θ = 24.8°, rel. 4.7
2θ = 57.4°, rel. 2.3
2θ = 55.8°, rel. 2.2
2θ = 67.9°, rel. 1.7
2θ = 43.7°, rel. 1.6

Cell and atoms:
Unit cell a=5.075 b=5.075 c=5.075 alpha=60.00 beta=60.00 gamma=60.00
Fractional positions:
Th: 0.000 0.000 0.000
Cd: 0.500 0.500 0.500
Ag: 0.250 0.250 0.250
Ag: 0.750 0.750 0.750



Record 3
Starting from DFT lattice parameters and positions (PBE), the X-ray diffraction stick pattern of ZrCdAg2 was computed for λ = 1.5418 Å (Cu Kα).

Most intense lines, 5° ≤ 2θ ≤ 70°, in order of falling intensity:
2θ = 37.5°, rel. 100.0
2θ = 67.6°, rel. 32.8
2θ = 54.0°, rel. 16.6
2θ = 22.7°, rel. 0.6

Cell and atoms:
Unit cell a=4.801 b=4.801 c=4.801 alpha=60.00 beta=60.00 gamma=60.00
Fractional positions:
Zr: 0.000 0.000 0.000
Cd: 0.500 0.500 0.500
Ag: 0.250 0.250 0.250
Ag: 0.750 0.750 0.750



Record 4
Starting from DFT lattice parameters and positions (PBE), the X-ray diffraction stick pattern of CeAg2 was computed for λ = 1.5418 Å (Cu Kα).

Most intense lines, 5° ≤ 2θ ≤ 70°, in order of falling intensity:
2θ = 34.5°, rel. 100.0
2θ = 36.3°, rel. 60.6
2θ = 36.1°, rel. 32.1
2θ = 50.8°, rel. 21.3
2θ = 68.9°, rel. 15.1
2θ = 63.8°, rel. 13.8
2θ = 65.0°, rel. 10.4
2θ = 51.0°, rel. 9.8
2θ = 64.1°, rel. 9.6
2θ = 64.2°, rel. 8.8

Cell and atoms:
Unit cell a=5.932 b=5.932 c=5.932 alpha=130.37 beta=113.21 gamma=87.60
Fractional positions:
Ce: 0.268 0.018 0.250
Ce: 0.732 0.982 0.750
Ag: 0.147 0.666 0.481
Ag: 0.314 0.334 0.981
Ag: 0.686 0.666 0.019
Ag: 0.853 0.334 0.519



Record 5
Starting from DFT lattice parameters and positions (PBE), the X-ray diffraction stick pattern of CeAg was computed for λ = 1.5418 Å (Cu Kα).

Most intense lines, 5° ≤ 2θ ≤ 70°, in order of falling intensity:
2θ = 34.0°, rel. 100.0
2θ = 60.8°, rel. 35.9
2θ = 48.8°, rel. 17.7
2θ = 23.8°, rel. 1.3
2θ = 55.0°, rel. 0.7

Cell and atoms:
Unit cell a=3.733 b=3.733 c=3.733 alpha=90.00 beta=90.00 gamma=90.00
Fractional positions:
Ce: 0.000 0.000 0.000
Ag: 0.500 0.500 0.500



Record 6
Starting from DFT lattice parameters and positions (PBE), the X-ray diffraction stick pattern of Ce3Ag was computed for λ = 1.5418 Å (Cu Kα).

Most intense lines, 5° ≤ 2θ ≤ 70°, in order of falling intensity:
2θ = 34.9°, rel. 100.0
2θ = 30.2°, rel. 24.5
2θ = 34.4°, rel. 23.5
2θ = 65.3°, rel. 20.2
2θ = 62.0°, rel. 18.5
2θ = 53.7°, rel. 18.4
2θ = 46.4°, rel. 14.8
2θ = 65.6°, rel. 14.7
2θ = 62.8°, rel. 2.8
2θ = 22.7°, rel. 2.2

Cell and atoms:
Unit cell a=6.829 b=6.829 c=5.211 alpha=90.00 beta=90.00 gamma=120.00
Fractional positions:
Ce: 0.176 0.351 0.250
Ce: 0.176 0.824 0.250
Ce: 0.351 0.176 0.750
Ce: 0.649 0.824 0.250
Ce: 0.824 0.176 0.750
Ce: 0.824 0.649 0.750
Ag: 0.333 0.667 0.750
Ag: 0.667 0.333 0.250